Computed powder diffractogram
Compound: Mo2WSe6
Radiation: CuKα
Structure: a structure optimized by DFT (PBE)
Kinematic intensities with the Lorentz-polarization factor, no thermal factor.

Largest 8 diffraction maxima, low angle first, 10 to 90 degrees two-theta:
2θ = 12.08°, I 100, hkl 0 0 3; 2θ = 31.08°, I 31, hkl 1 0 0; 2θ = 33.45°, I 18, hkl 0 1 3; 2θ = 35.20°, I 14, hkl 1 0 4; 2θ = 37.35°, I 54, hkl 0 1 5; 2θ = 39.83°, I 12, hkl 1 0 6; 2θ = 45.65°, I 38, hkl 0 1 8; 2θ = 55.29°, I 24, hkl 1 1 0

Cell and atoms:
```
Mo2WSe6
1.0
3.3231 0.0000 0.0000
-1.6615 2.8779 0.0000
0.0000 0.0000 21.9820
Mo W Se
2 1 6
Cartesian
0.0000 0.0000 0.0000
0.0000 1.9186 7.1081
0.0000 0.0000 14.2350
0.0000 0.0000 5.4349
0.0000 0.0000 8.7809
0.0000 1.9186 1.6735
0.0000 1.9186 12.5526
0.0000 1.9186 15.9174
0.0000 1.9186 20.3091
```